For Er3FeTe5, a DFT-relaxed cell (PBE, OQMD) gives the calculated PXRD pattern in this record (Cu Kα).
Kinematic intensities with the Lorentz-polarization factor, no thermal factor.

Peak list (10 most intense, 2θ = 10–90°, most intense first)
d_spacing	I_rel
2.802	100
2.480	42
2.812	33
2.238	32
1.487	32
2.622	21
1.482	17
2.148	15
4.295	14
1.849	13

Atomic structure:
Cell lengths 8.5905, 8.5905, 3.6974 Å; angles 90.00, 90.00, 120.00 degrees
Atoms (fractional coordinates):
Er (0.0000, 0.6489, 0.0000)
Er (0.3511, 0.3511, 0.0000)
Er (0.6489, 0.0000, 0.0000)
Fe (0.0000, 0.0000, 0.0000)
Te (0.0000, 0.2210, 0.5000)
Te (0.2210, 0.0000, 0.5000)
Te (0.3333, 0.6667, 0.5000)
Te (0.6667, 0.3333, 0.5000)
Te (0.7790, 0.7790, 0.5000)

For Er6TmFe2Te2, a DFT-relaxed cell (PBE, OQMD) gives the calculated PXRD pattern in this record (Cu Kα).
Kinematic intensities with the Lorentz-polarization factor, no thermal factor.

Peak list (10 most intense, 2θ = 10–90°, most intense first)
d_spacing	I_rel
2.612	100
2.656	81
2.563	54
2.899	54
1.551	32
1.911	30
2.585	27
2.406	25
3.073	23
2.942	22

Atomic structure:
Cell lengths 9.2382, 9.2382, 9.2382 Å; angles 156.13, 65.87, 119.63 degrees
Atoms (fractional coordinates):
Er (0.1071, 0.7940, 0.3131)
Er (0.1354, 0.0000, 0.1354)
Er (0.4808, 0.7940, 0.6869)
Er (0.5011, 0.1497, 0.3513)
Er (0.7984, 0.1497, 0.6487)
Er (0.8646, 0.0000, 0.8646)
Tm (0.4188, 0.4188, 0.0000)
Fe (0.2516, 0.4883, 0.7632)
Fe (0.7251, 0.4883, 0.2368)
Te (0.1530, 0.6530, 0.5000)
Te (0.7545, 0.7545, 0.0000)

For Er5Tm2Fe2Te2, a DFT-relaxed cell (PBE, OQMD) gives the calculated PXRD pattern in this record (Cu Kα).
Kinematic intensities with the Lorentz-polarization factor, no thermal factor.

Peak list (10 most intense, 2θ = 10–90°, most intense first)
d_spacing	I_rel
2.619	100
2.674	81
2.911	52
2.573	52
1.556	32
1.914	30
2.592	26
2.419	25
3.079	23
2.952	22

Atomic structure:
Cell lengths 9.2770, 9.2770, 9.2770 Å; angles 156.19, 66.09, 119.37 degrees
Atoms (fractional coordinates):
Er (0.0000, 0.0000, 0.0000)
Er (0.2836, 0.4183, 0.8653)
Er (0.3098, 0.6231, 0.6868)
Er (0.5529, 0.4183, 0.1347)
Er (0.9363, 0.6231, 0.3132)
Tm (0.6218, 0.2699, 0.3519)
Tm (0.9180, 0.2699, 0.6481)
Fe (0.1661, 0.9292, 0.2369)
Fe (0.6923, 0.9292, 0.7631)
Te (0.2655, 0.7655, 0.5000)
Te (0.6639, 0.6639, 0.0000)

For Er3Tm4Fe2Te2, a DFT-relaxed cell (PBE, OQMD) gives the calculated PXRD pattern in this record (Cu Kα).
Kinematic intensities with the Lorentz-polarization factor, no thermal factor.

Peak list (10 most intense, 2θ = 10–90°, most intense first)
d_spacing	I_rel
2.614	100
2.650	82
2.562	56
2.897	54
1.551	32
1.912	30
2.589	28
3.077	23
2.401	21
2.945	21

Atomic structure:
Cell lengths 9.2413, 9.2413, 9.2413 Å; angles 156.11, 65.62, 119.90 degrees
Atoms (fractional coordinates):
Er (0.0000, 0.0000, 0.0000)
Er (0.0605, 0.3735, 0.6871)
Er (0.6864, 0.3735, 0.3129)
Tm (0.0823, 0.7318, 0.3505)
Tm (0.3813, 0.7318, 0.6495)
Tm (0.4445, 0.5806, 0.8639)
Tm (0.7167, 0.5806, 0.1361)
Fe (0.3056, 0.0687, 0.2369)
Fe (0.8319, 0.0687, 0.7631)
Te (0.3359, 0.3359, 0.0000)
Te (0.7324, 0.2324, 0.5000)